Record 1
For Cs2MoS2O2, DFT lattice parameters and positions (PBE+U) gives the simulated powder diffractogram in this record (copper Kα).
Peak positions follow from Bragg's law for the DFT cell and can differ from measured ones.

Principal peaks in the range 2θ = 10–90°, low angle first:
2θ/deg  I_rel
19.55  39
24.70  32
24.98  38
25.09  100
27.77  46
28.04  35

```
Cs2MoS2O2
1.0
6.208 -3.875 0.000
6.208 3.875 0.000
-5.791 0.000 9.081
Cs Mo S O
4 2 4 4
Direct
0.160 0.264 0.331
0.264 0.160 0.831
0.736 0.840 0.169
0.840 0.736 0.669
0.425 0.575 0.250
0.575 0.425 0.750
0.238 0.726 0.071
0.274 0.762 0.429
0.726 0.238 0.571
0.762 0.274 0.929
0.305 0.416 0.676
0.416 0.305 0.176
0.584 0.695 0.824
0.695 0.584 0.324
```

=====

Record 2
For CsSmMo2O8, DFT lattice parameters and positions (PBE+U) gives the simulated powder diffractogram in this record (copper Kα).
Peak positions follow from Bragg's law for the DFT cell and can differ from measured ones.

Principal peaks in the range 2θ = 10–90°, low angle first:
2θ/deg  I_rel
27.13  100
28.06  61
29.80  32
33.38  19
45.96  17
52.38  13

```
CsSmMo2O8
1.0
5.497 -5.368 0.000
5.497 5.368 0.000
-5.182 0.000 5.996
Cs Sm Mo O
2 2 4 16
Direct
0.192 0.808 0.750
0.808 0.192 0.250
0.228 0.772 0.250
0.772 0.228 0.750
0.309 0.310 0.268
0.310 0.309 0.768
0.690 0.691 0.232
0.691 0.690 0.732
0.060 0.215 0.706
0.073 0.382 0.129
0.215 0.060 0.206
0.244 0.388 0.574
0.371 0.584 0.032
0.382 0.073 0.629
0.388 0.244 0.074
0.416 0.629 0.468
0.584 0.371 0.532
0.612 0.756 0.926
0.618 0.927 0.371
0.629 0.416 0.968
0.756 0.612 0.426
0.785 0.940 0.794
0.927 0.618 0.871
0.940 0.785 0.294
```

=====

Record 3
For CsSmMo2O8, DFT lattice parameters and positions (PBE+U) gives the simulated powder diffractogram in this record (copper Kα).
Peak positions follow from Bragg's law for the DFT cell and can differ from measured ones.

Principal peaks in the range 2θ = 10–90°, low angle first:
2θ/deg  I_rel
25.12  99
27.56  100
28.16  58
45.39  45
50.90  27
56.88  20

```
CsSmMo2O8
1.0
5.149 0.000 0.000
0.000 9.779 0.000
0.000 0.000 8.320
Cs Sm Mo O
2 2 4 16
Direct
0.000 0.000 0.250
0.000 0.000 0.750
0.000 0.500 0.250
0.000 0.500 0.750
0.479 0.304 0.000
0.479 0.696 0.500
0.521 0.304 0.500
0.521 0.696 0.000
0.252 0.432 0.500
0.252 0.568 0.000
0.264 0.314 0.172
0.264 0.314 0.828
0.264 0.686 0.328
0.264 0.686 0.672
0.384 0.140 0.500
0.384 0.860 0.000
0.616 0.140 0.000
0.616 0.860 0.500
0.736 0.314 0.328
0.736 0.314 0.672
0.736 0.686 0.172
0.736 0.686 0.828
0.748 0.432 0.000
0.748 0.568 0.500
```